(1)
This entry pairs a crystal structure of Ni2W4C with its computed powder X-ray diffraction pattern. Radiation: λ = 1.5418 Å (Cu Kα). Structure: a DFT-relaxed cell (GGA-PBE, the Materials Project).

Structure:
a = 11.3207 Å, b = 11.3207 Å, c = 11.3207 Å
α = 90.00°, β = 90.00°, γ = 90.00°
Space group Fd-3m (No. 227, origin choice 2)
One atom of each set of equivalent atoms:
Ni: 0.0415 0.0415 0.2085 x32
W: 0.0000 0.0000 0.0000 x16
W: 0.0661 0.3750 0.8750 x48
C: 0.0000 0.0000 0.5000 x16

The 8 most intense peaks (15° ≤ 2θ ≤ 90°), in order of falling intensity:
- 41.4°, rel. 100
- 39.0°, rel. 47
- 34.5°, rel. 45
- 45.3°, rel. 41
- 70.6°, rel. 41
- 85.3°, rel. 18
- 67.8°, rel. 15
- 72.3°, rel. 15


(2)
This entry pairs a crystal structure of YNiC2 with its computed powder X-ray diffraction pattern. Radiation: λ = 1.5418 Å (Cu Kα). Structure: a DFT-relaxed cell (GGA-PBE, the Materials Project).

Structure:
```
data_YNiC2
_chemical_formula_sum 'Y2 Ni2 C4'
_symmetry_space_group_name_H-M 'A m m 2'
_symmetry_Int_Tables_number 38
_cell_length_a 3.6027
_cell_length_b 4.5186
_cell_length_c 6.0218
_cell_angle_alpha 90.00
_cell_angle_beta 90.00
_cell_angle_gamma 90.00
loop_
_symmetry_equiv_pos_as_xyz
'x,y,z'
'-x,-y,z'
'-x,y,z'
'x,-y,z'
'x,y+1/2,z+1/2'
'-x,-y+1/2,z+1/2'
'-x,y+1/2,z+1/2'
'x,-y+1/2,z+1/2'
loop_
_atom_site_label
_atom_site_type_symbol
_atom_site_fract_x
_atom_site_fract_y
_atom_site_fract_z
Y1 Y 0.0000 0.0000 0.0000
Ni1 Ni 0.5000 0.0000 0.6128
C1 C 0.5000 0.1515 0.3016
```

The 8 most intense peaks (15° ≤ 2θ ≤ 90°), in order of falling intensity:
- 35.2°, rel. 100
- 39.0°, rel. 21
- 49.7°, rel. 18
- 39.9°, rel. 18
- 29.7°, rel. 17
- 24.6°, rel. 13
- 69.4°, rel. 12
- 50.5°, rel. 12


(3)
This entry pairs a crystal structure of Np2C3 with its computed powder X-ray diffraction pattern. Radiation: λ = 1.5418 Å (Cu Kα). Structure: a DFT-relaxed cell (GGA-PBE, the Materials Project).

Structure:
```
data_Np2C3
_chemical_formula_sum 'Np16 C24'
_symmetry_space_group_name_H-M 'I -4 3 d'
_symmetry_Int_Tables_number 220
_symmetry_space_group_name_Hall 'I -4bd 2c 3'
_cell_length_a 8.0267
_cell_length_b 8.0267
_cell_length_c 8.0267
_cell_angle_alpha 90.00
_cell_angle_beta 90.00
_cell_angle_gamma 90.00
loop_
_atom_site_label
_atom_site_type_symbol
_atom_site_fract_x
_atom_site_fract_y
_atom_site_fract_z
Np1 Np 0.0493 0.4507 0.5493
C1 C 0.0000 0.2500 0.7866
```

The 8 most intense peaks (15° ≤ 2θ ≤ 90°), in order of falling intensity:
- 31.5°, rel. 100
- 35.4°, rel. 86
- 58.6°, rel. 60
- 27.2°, rel. 48
- 42.1°, rel. 43
- 63.5°, rel. 29
- 53.6°, rel. 27
- 89.8°, rel. 21


(4)
This entry pairs a crystal structure of NpCO4 with its computed powder X-ray diffraction pattern. Radiation: λ = 1.5418 Å (Cu Kα). Structure: a DFT-relaxed cell (GGA-PBE, the Materials Project).

Structure:
```
data_NpCO4
_chemical_formula_sum 'Np4 C4 O16'
_symmetry_space_group_name_H-M 'P 41'
_symmetry_Int_Tables_number 76
_cell_length_a 6.7700
_cell_length_b 6.7700
_cell_length_c 8.3200
_cell_angle_alpha 90.00
_cell_angle_beta 90.00
_cell_angle_gamma 90.00
loop_
_symmetry_equiv_pos_as_xyz
'x,y,z'
'-y,x,z+1/4'
'-x,-y,z+1/2'
'y,-x,z+3/4'
loop_
_atom_site_label
_atom_site_type_symbol
_atom_site_fract_x
_atom_site_fract_y
_atom_site_fract_z
Np1 Np 0.2279 0.2506 0.0000
C1 C 0.2298 0.7476 0.1506
O1 O 0.0502 0.7447 0.5068
O2 O 0.1217 0.2052 0.2953
O3 O 0.2391 0.4983 0.7935
O4 O 0.2445 0.5681 0.1490
```

The 8 most intense peaks (15° ≤ 2θ ≤ 90°), in order of falling intensity:
- 16.9°, rel. 100
- 28.4°, rel. 56
- 26.3°, rel. 42
- 31.4°, rel. 30
- 47.8°, rel. 29
- 35.0°, rel. 21
- 44.3°, rel. 18
- 41.5°, rel. 14


(5)
This entry pairs a crystal structure of Os3C10O10 with its computed powder X-ray diffraction pattern. Radiation: λ = 1.5418 Å (Cu Kα). Structure: a DFT-relaxed cell (GGA-PBE, the Materials Project).

Structure:
```
data_Os3C10O10
_chemical_formula_sum 'Os6 C20 O20'
_symmetry_space_group_name_H-M 'P -1'
_symmetry_Int_Tables_number 2
_cell_length_a 8.7499
_cell_length_b 9.3385
_cell_length_c 12.3013
_cell_angle_alpha 91.12
_cell_angle_beta 99.66
_cell_angle_gamma 116.88
loop_
_symmetry_equiv_pos_as_xyz
'x,y,z'
'-x,-y,-z'
loop_
_atom_site_label
_atom_site_type_symbol
_atom_site_fract_x
_atom_site_fract_y
_atom_site_fract_z
Os1 Os 0.0264 0.4508 0.2506
Os2 Os 0.1259 0.7702 0.2048
Os3 Os 0.3868 0.6862 0.2867
C1 C 0.0516 0.3711 0.3877
C2 C 0.0626 0.2919 0.1807
C3 C 0.0964 0.2371 0.8549
C4 C 0.2023 0.9567 0.3021
C5 C 0.2247 0.6633 0.7835
C6 C 0.2424 0.8881 0.0965
C7 C 0.3500 0.7452 0.4298
C8 C 0.3671 0.6222 0.1307
C9 C 0.3959 0.1212 0.7054
C10 C 0.4806 0.5455 0.3431
O1 O 0.0682 0.3205 0.4723
O2 O 0.0865 0.1932 0.1381
O3 O 0.2221 0.2272 0.8923
O4 O 0.2491 0.0693 0.3659
O5 O 0.2620 0.0075 0.7004
O6 O 0.3136 0.9569 0.0276
O7 O 0.3311 0.7825 0.5152
O8 O 0.3571 0.5847 0.0382
O9 O 0.3760 0.7382 0.8019
O10 O 0.4613 0.5383 0.6226
```

The 8 most intense peaks (15° ≤ 2θ ≤ 90°), in order of falling intensity:
- 17.8°, rel. 100
- 30.8°, rel. 53
- 19.1°, rel. 44
- 22.9°, rel. 42
- 41.6°, rel. 40
- 39.5°, rel. 39
- 37.5°, rel. 34
- 28.6°, rel. 32